# 1
TmScBeRu: simulated powder diffractogram (a wavelength of 1.5418 Å), based on the GGA-PBE geometry in Alexandria.
Peak positions follow from Bragg's law for the DFT cell and can differ from measured ones.

Largest 8 diffraction maxima, low angle first, 5 to 70 degrees two-theta:
d_spacing	Rel. int.
3.794	58
3.285	13
2.323	100
1.981	30
1.897	4
1.643	17
1.507	13
1.469	5

Cell and atoms:
Cell: 6.5709 6.5709 6.5709 Å, 90.00 90.00 90.00°
Space group F-43m (No. 216)
One atom of each set of equivalent atoms:
Tm 0.0000 0.0000 0.0000 x4
Sc 0.0000 0.0000 0.5000 x4
Be 0.2500 0.2500 0.7500 x4
Ru 0.2500 0.2500 0.2500 x4

=====

# 2
CsUAuSe2: simulated powder diffractogram (a wavelength of 1.5418 Å), based on the GGA-PBE geometry in Alexandria.
Peak positions follow from Bragg's law for the DFT cell and can differ from measured ones.

Largest 8 diffraction maxima, low angle first, 5 to 70 degrees two-theta:
d_spacing	Rel. int.
8.230	77
4.115	31
2.873	100
2.813	16
2.528	29
2.458	44
2.058	16
2.044	40

Cell and atoms:
Cell: 3.8553 5.0553 8.2302 Å, 90.00 90.00 90.00°
Space group Pmmm (No. 47)
One atom of each set of equivalent atoms:
Cs 0.0000 0.0000 0.0000 x1
U 0.0000 0.5000 0.5000 x1
Au 0.5000 0.0000 0.5000 x1
Se 0.5000 0.5000 0.2501 x2